1.
This entry pairs a crystal structure of CaCu11Si with its computed PXRD pattern. Radiation: λ = 1.5418 Å (Cu Kα). Structure: the PBE geometry in Alexandria.
No peak broadening, texture or thermal motion is included.

Structure:
```
CaCu11Si
1.0
2.400 -5.977 0.000
2.400 5.977 0.000
-2.247 0.000 6.090
Ca Cu Si
1 11 1
direct
0.000 0.000 0.000
0.000 0.000 0.500
0.000 0.500 0.000
0.009 0.653 0.646
0.283 0.508 0.772
0.347 0.991 0.354
0.492 0.717 0.228
0.500 0.000 0.000
0.508 0.283 0.772
0.653 0.009 0.646
0.717 0.492 0.228
0.991 0.347 0.354
0.500 0.500 0.500
```

Principal peaks in the range 2θ = 10–90°, low angle first:
d [Å], 2θ/deg, intensity
2.158, 41.85, 46
2.133, 42.38, 100
2.109, 42.87, 95
2.076, 43.61, 48
1.922, 47.29, 47
1.908, 47.67, 35
1.893, 48.06, 56
1.871, 48.67, 59

2.
This entry pairs a crystal structure of Hf5Al3Ga3 with its computed PXRD pattern. Radiation: λ = 1.5418 Å (Cu Kα). Structure: the PBE geometry in Alexandria.
No peak broadening, texture or thermal motion is included.

Structure:
```
Hf5Al3Ga3
1.0
9.233 0.000 0.000
-4.616 7.996 0.000
0.000 0.000 3.020
Hf Al Ga
5 3 3
direct
0.000 0.311 0.000
0.311 0.000 0.000
0.333 0.667 0.000
0.667 0.333 0.000
0.689 0.689 0.000
0.000 0.836 0.500
0.164 0.164 0.500
0.836 0.000 0.500
0.000 0.605 0.000
0.395 0.395 0.000
0.605 0.000 0.000
```

Principal peaks in the range 2θ = 10–90°, low angle first:
d [Å], 2θ/deg, intensity
4.616, 19.23, 30
3.021, 29.57, 79
2.665, 33.63, 100
2.136, 42.31, 23
1.998, 45.38, 98
1.511, 61.37, 30
1.371, 68.42, 20
1.314, 71.85, 23

3.
This entry pairs a crystal structure of La2CuSnPd6 with its computed PXRD pattern. Radiation: λ = 1.5418 Å (Cu Kα). Structure: the PBE geometry in Alexandria.
No peak broadening, texture or thermal motion is included.

Structure:
```
La2CuSnPd6
1.0
5.687 0.000 0.000
2.843 4.930 0.000
2.830 1.644 8.123
La Cu Sn Pd
2 1 1 6
direct
0.207 0.209 0.375
0.793 0.791 0.625
0.500 0.500 0.500
0.000 0.000 0.000
0.249 0.746 0.259
0.256 0.747 0.743
0.257 0.253 0.743
0.743 0.747 0.257
0.744 0.253 0.257
0.751 0.254 0.741
```

Principal peaks in the range 2θ = 10–90°, low angle first:
d [Å], 2θ/deg, intensity
8.123, 10.89, 24
4.061, 21.88, 35
3.465, 25.71, 31
2.415, 37.23, 60
2.330, 38.64, 37
2.284, 39.45, 100
2.184, 41.33, 38
1.916, 47.46, 30

4.
This entry pairs a crystal structure of Cs2ErGe2O6 with its computed PXRD pattern. Radiation: λ = 1.5418 Å (Cu Kα). Structure: the PBE geometry in Alexandria.
No peak broadening, texture or thermal motion is included.

Structure:
```
Cs2ErGe2O6
1.0
3.084 1.781 6.115
-3.084 1.781 6.115
0.000 -3.561 6.115
Cs Er Ge O
2 1 2 6
direct
0.220 0.220 0.220
0.780 0.780 0.780
0.000 0.000 0.000
0.425 0.425 0.425
0.575 0.575 0.575
0.244 0.244 0.724
0.244 0.724 0.244
0.276 0.756 0.756
0.724 0.244 0.244
0.756 0.276 0.756
0.756 0.756 0.276
```

Principal peaks in the range 2θ = 10–90°, low angle first:
d [Å], 2θ/deg, intensity
3.480, 25.60, 34
3.084, 28.95, 100
3.024, 29.54, 81
2.308, 39.02, 24
2.159, 41.83, 25
1.781, 51.31, 20
1.769, 51.67, 32
1.701, 53.92, 31

5.
This entry pairs a crystal structure of NaNd12In6 with its computed PXRD pattern. Radiation: λ = 1.5418 Å (Cu Kα). Structure: the PBE geometry in Alexandria.
No peak broadening, texture or thermal motion is included.

Structure:
```
NaNd12In6
1.0
7.345 4.241 3.357
-7.345 4.241 3.357
0.000 -8.482 3.357
Na Nd In
1 12 6
direct
0.000 0.000 0.000
0.039 0.887 0.349
0.062 0.323 0.415
0.113 0.651 0.961
0.323 0.415 0.062
0.349 0.039 0.887
0.415 0.062 0.323
0.585 0.938 0.677
0.651 0.961 0.113
0.677 0.585 0.938
0.887 0.349 0.039
0.938 0.677 0.585
0.961 0.113 0.651
0.245 0.656 0.357
0.344 0.643 0.755
0.357 0.245 0.656
0.643 0.755 0.344
0.656 0.357 0.245
0.755 0.344 0.643
```

Principal peaks in the range 2θ = 10–90°, low angle first:
d [Å], 2θ/deg, intensity
4.241, 20.95, 19
3.330, 26.77, 16
3.053, 29.25, 45
2.776, 32.24, 100
2.632, 34.06, 60
2.478, 36.25, 31
1.741, 52.55, 24
1.436, 64.92, 22

6.
This entry pairs a crystal structure of MgZr4W with its computed PXRD pattern. Radiation: λ = 1.5418 Å (Cu Kα). Structure: the PBE geometry in Alexandria.
No peak broadening, texture or thermal motion is included.

Structure:
```
MgZr4W
1.0
0.000 4.030 4.030
4.030 0.000 4.030
4.030 4.030 0.000
Mg Zr W
1 4 1
direct
0.000 0.000 0.000
0.377 0.377 0.377
0.377 0.377 0.868
0.377 0.868 0.377
0.868 0.377 0.377
0.750 0.750 0.750
```

Principal peaks in the range 2θ = 10–90°, low angle first:
d [Å], 2θ/deg, intensity
4.653, 19.07, 22
4.030, 22.06, 16
2.849, 31.40, 27
2.430, 36.99, 100
2.326, 38.70, 39
1.551, 59.61, 32
1.425, 65.52, 25
1.215, 78.77, 14

7.
This entry pairs a crystal structure of PrBr3N with its computed PXRD pattern. Radiation: λ = 1.5418 Å (Cu Kα). Structure: the PBE geometry in Alexandria.
No peak broadening, texture or thermal motion is included.

Structure:
```
PrBr3N
1.0
5.816 0.000 0.000
2.755 7.854 0.000
0.000 0.006 8.771
Pr Br N
2 6 2
direct
0.014 0.470 0.250
0.986 0.530 0.750
0.117 0.254 0.524
0.118 0.254 0.976
0.470 0.563 0.750
0.530 0.437 0.250
0.882 0.746 0.024
0.883 0.746 0.476
0.306 0.911 0.251
0.694 0.089 0.749
```

Principal peaks in the range 2θ = 10–90°, low angle first:
d [Å], 2θ/deg, intensity
7.854, 11.27, 100
5.488, 16.15, 34
5.419, 16.36, 30
3.829, 23.23, 36
2.926, 30.56, 72
2.907, 30.75, 36
2.078, 43.56, 25
2.047, 44.24, 20

8.
This entry pairs a crystal structure of Sr4Ti3NbO12 with its computed PXRD pattern. Radiation: λ = 1.5418 Å (Cu Kα). Structure: the PBE geometry in Alexandria.
No peak broadening, texture or thermal motion is included.

Structure:
```
Sr4Ti3NbO12
1.0
-3.984 3.984 3.984
3.984 -3.984 3.984
3.984 3.984 -3.984
Sr Ti Nb O
4 3 1 12
direct
0.000 0.000 0.500
0.000 0.500 0.000
0.500 0.000 0.000
0.500 0.500 0.500
0.000 0.500 0.500
0.500 0.000 0.500
0.500 0.500 0.000
0.000 0.000 0.000
0.000 0.252 0.252
0.000 0.748 0.748
0.250 0.500 0.750
0.250 0.750 0.500
0.252 0.000 0.252
0.252 0.252 0.000
0.500 0.250 0.750
0.500 0.750 0.250
0.748 0.000 0.748
0.748 0.748 0.000
0.750 0.250 0.500
0.750 0.500 0.250
```

Principal peaks in the range 2θ = 10–90°, low angle first:
d [Å], 2θ/deg, intensity
5.634, 15.73, 4
2.817, 31.77, 100
2.300, 39.17, 13
1.992, 45.54, 39
1.626, 56.59, 38
1.408, 66.37, 23
1.260, 75.46, 16
1.150, 84.19, 7

9.
This entry pairs a crystal structure of PrZnGa2Ni with its computed PXRD pattern. Radiation: λ = 1.5418 Å (Cu Kα). Structure: the PBE geometry in Alexandria.
No peak broadening, texture or thermal motion is included.

Structure:
```
PrZnGa2Ni
1.0
-2.125 2.125 5.118
2.125 -2.125 5.118
2.125 2.125 -5.118
Pr Zn Ga Ni
1 1 2 1
direct
0.000 0.000 0.000
0.750 0.250 0.500
0.376 0.376 0.000
0.624 0.624 0.000
0.250 0.750 0.500
```

Principal peaks in the range 2θ = 10–90°, low angle first:
d [Å], 2θ/deg, intensity
3.005, 29.73, 22
2.661, 33.69, 82
2.591, 34.62, 100
2.125, 42.55, 65
1.844, 49.41, 28
1.660, 55.33, 39
1.393, 67.21, 22
1.300, 72.76, 22

10.
This entry pairs a crystal structure of AcPuO5 with its computed PXRD pattern. Radiation: λ = 1.5418 Å (Cu Kα). Structure: the PBE geometry in Alexandria.
No peak broadening, texture or thermal motion is included.

Structure:
```
AcPuO5
1.0
3.324 -4.975 0.000
3.324 4.975 0.000
-3.280 0.000 7.624
Ac Pu O
2 2 10
direct
0.189 0.811 0.750
0.811 0.189 0.250
0.500 0.500 0.000
0.500 0.500 0.500
0.166 0.225 0.911
0.225 0.166 0.411
0.229 0.617 0.446
0.383 0.771 0.054
0.441 0.559 0.750
0.559 0.441 0.250
0.617 0.229 0.946
0.771 0.383 0.554
0.775 0.834 0.589
0.834 0.775 0.089
```

Principal peaks in the range 2θ = 10–90°, low angle first:
d [Å], 2θ/deg, intensity
5.195, 17.07, 100
3.751, 23.72, 23
3.733, 23.84, 73
3.054, 29.24, 42
3.026, 29.52, 53
2.915, 30.67, 60
2.595, 34.57, 27
2.141, 42.20, 22